(1)
Starting from a GGA-PBE-relaxed structure, the powder diffraction line list of LaPr5Se6 was simulated for CuKα.
Intensities are scaled so that the largest is 1000.

Principal peaks in the range 2θ from 15° to 90°, in order of rising 2θ:
Position (°2θ), d/Å, I_rel
25.5, 3.494, 73
25.6, 3.485, 73
29.6, 3.022, 1000
42.2, 2.139, 376
42.4, 2.134, 373
52.4, 1.747, 133
61.4, 1.511, 123
69.5, 1.353, 113
69.6, 1.351, 113
69.7, 1.350, 112
77.2, 1.235, 84
77.3, 1.234, 105

Cell and atoms:
```
12
Lattice="3.692 -6.424 0.000 3.692 6.424 0.000 -2.474 0.000 6.979" Properties=species:S:1:pos:R:3 pbc="T T T"
La 0.000 0.000 0.000
Pr 2.455 4.273 3.489
Pr 3.692 2.153 0.000
Pr 2.455 0.000 3.489
Pr 3.692 -2.153 0.000
Pr 2.455 -4.273 3.489
Se 1.230 2.142 1.750
Se -0.005 0.000 5.233
Se 1.230 -2.142 1.750
Se 3.680 2.142 5.229
Se 4.915 0.000 1.746
Se 3.680 -2.142 5.229
```

***

(2)
Starting from a GGA-PBE-relaxed structure, the powder diffraction line list of La2Pr2Se5 was simulated for CuKα.
Intensities are scaled so that the largest is 1000.

Principal peaks in the range 2θ from 15° to 90°, in order of rising 2θ:
Position (°2θ), d/Å, I_rel
25.1, 3.549, 306
27.5, 3.245, 368
30.5, 2.928, 743
31.5, 2.839, 349
33.5, 2.676, 274
34.4, 2.607, 590
35.5, 2.529, 271
35.9, 2.504, 1000
38.9, 2.318, 189
46.6, 1.947, 498
50.9, 1.795, 261
65.5, 1.426, 208

Cell and atoms:
```
18
Lattice="7.586 -4.014 0.000 7.586 4.014 0.000 0.000 0.000 8.032" Properties=species:S:1:pos:R:3 pbc="T T T"
La 2.985 0.000 0.000
La 4.600 0.000 4.016
La 10.571 0.000 4.016
La 12.186 0.000 0.000
Pr 7.586 2.797 5.273
Pr 7.586 1.217 1.257
Pr 7.586 -1.217 6.775
Pr 7.586 -2.797 2.759
Se 0.000 0.000 0.000
Se 5.483 2.745 2.782
Se 5.483 1.269 6.798
Se 9.689 2.745 2.782
Se 9.689 1.269 6.798
Se 7.586 0.000 4.016
Se 5.483 -1.269 1.234
Se 5.483 -2.745 5.250
Se 9.689 -1.269 1.234
Se 9.689 -2.745 5.250
```

***

(3)
Starting from a GGA-PBE-relaxed structure, the powder diffraction line list of La2PrSmSe4 was simulated for CuKα.
Intensities are scaled so that the largest is 1000.

Principal peaks in the range 2θ from 15° to 90°, in order of rising 2θ:
Position (°2θ), d/Å, I_rel
25.5, 3.498, 75
25.7, 3.469, 73
29.6, 3.017, 1000
42.1, 2.145, 126
42.3, 2.136, 251
42.4, 2.131, 248
42.7, 2.119, 123
52.8, 1.735, 131
61.5, 1.508, 123
69.6, 1.351, 113
69.8, 1.348, 112
77.9, 1.226, 83

Cell and atoms:
```
8
Lattice="7.393 0.000 0.000 0.000 4.239 0.000 -2.441 0.000 7.008" Properties=species:S:1:pos:R:3 pbc="T T T"
La 0.000 0.000 0.000
La -1.220 2.119 3.504
Pr 2.476 0.000 3.504
Sm 3.697 2.119 0.000
Se 1.277 2.119 1.736
Se 0.057 0.000 5.300
Se 4.895 0.000 1.708
Se 3.676 2.119 5.272
```

***

(4)
Starting from a GGA-PBE-relaxed structure, the powder diffraction line list of LaPrSi3 was simulated for CuKα.
Intensities are scaled so that the largest is 1000.

Principal peaks in the range 2θ from 15° to 90°, in order of rising 2θ:
Position (°2θ), d/Å, I_rel
20.1, 4.420, 233
26.3, 3.392, 580
28.4, 3.140, 249
31.7, 2.824, 1000
31.9, 2.803, 613
34.8, 2.575, 201
40.2, 2.245, 259
42.4, 2.132, 166
45.0, 2.015, 187
48.6, 1.872, 222
50.2, 1.817, 182
56.2, 1.636, 242

Cell and atoms:
```
10
Lattice="2.245 -12.559 0.000 2.245 12.559 0.000 0.000 0.000 4.031" Properties=species:S:1:pos:R:3 pbc="T T T"
La 2.245 10.828 3.023
La 2.245 -10.828 1.008
Pr 2.245 7.499 1.008
Pr 2.245 -7.499 3.023
Si 2.245 4.384 1.008
Si 2.245 2.978 3.023
Si 2.245 0.609 3.023
Si 2.245 -0.609 1.008
Si 2.245 -2.978 1.008
Si 2.245 -4.384 3.023
```

***

(5)
Starting from a GGA-PBE-relaxed structure, the powder diffraction line list of La3PrSi2 was simulated for CuKα.
Intensities are scaled so that the largest is 1000.

Principal peaks in the range 2θ from 15° to 90°, in order of rising 2θ:
Position (°2θ), d/Å, I_rel
24.9, 3.569, 164
25.1, 3.541, 146
29.4, 3.035, 1000
32.0, 2.798, 246
33.1, 2.706, 123
34.9, 2.572, 385
38.9, 2.318, 200
39.4, 2.287, 193
51.2, 1.785, 130
51.6, 1.771, 127
51.8, 1.764, 230
56.5, 1.628, 133

Cell and atoms:
```
6
Lattice="-2.287 2.318 8.393 2.287 -2.318 8.393 2.287 2.318 -8.393" Properties=species:S:1:pos:R:3 pbc="T T T"
La 0.000 0.000 0.000
La 2.287 0.000 3.077
La 0.000 2.318 5.316
Pr 0.000 0.000 8.393
Si 2.287 0.000 6.156
Si 0.000 2.318 2.236
```

***

(6)
Starting from a GGA-PBE-relaxed structure, the powder diffraction line list of LaPr4Si4 was simulated for CuKα.
Intensities are scaled so that the largest is 1000.

Principal peaks in the range 2θ from 15° to 90°, in order of rising 2θ:
Position (°2θ), d/Å, I_rel
24.2, 3.676, 291
26.1, 3.417, 1000
30.5, 2.927, 947
31.1, 2.877, 603
34.0, 2.635, 236
36.8, 2.443, 232
43.7, 2.070, 321
46.4, 1.958, 271
50.6, 1.803, 214
51.6, 1.770, 318
62.1, 1.495, 165
70.0, 1.345, 164

Cell and atoms:
```
18
Lattice="9.256 0.000 0.000 0.000 9.256 0.000 0.000 0.000 6.052" Properties=species:S:1:pos:R:3 pbc="T T T"
La 2.314 2.314 1.513
La 6.942 6.942 4.539
Pr 0.536 6.183 0.715
Pr 1.555 8.720 3.741
Pr 3.073 5.164 3.741
Pr 4.092 7.701 0.715
Pr 5.164 1.555 5.336
Pr 6.183 4.092 2.311
Pr 7.701 0.536 2.311
Pr 8.720 3.073 5.336
Si 0.167 5.663 3.675
Si 1.035 9.089 0.650
Si 3.593 4.795 0.650
Si 4.461 8.221 3.675
Si 4.795 1.035 2.376
Si 5.663 4.461 5.402
Si 8.221 0.167 5.402
Si 9.089 3.593 2.376
```

***

(7)
Starting from a GGA-PBE-relaxed structure, the powder diffraction line list of LaPrSi2 was simulated for CuKα.
Intensities are scaled so that the largest is 1000.

Principal peaks in the range 2θ from 15° to 90°, in order of rising 2θ:
Position (°2θ), d/Å, I_rel
21.2, 4.191, 245
25.9, 3.438, 313
26.8, 3.327, 380
28.9, 3.092, 1000
30.9, 2.891, 728
31.6, 2.830, 827
34.4, 2.605, 445
35.4, 2.534, 501
39.0, 2.309, 406
45.4, 1.997, 247
50.1, 1.821, 329
56.4, 1.631, 317

Cell and atoms:
```
8
Lattice="3.994 0.000 0.000 0.000 6.012 0.000 0.000 0.000 8.381" Properties=species:S:1:pos:R:3 pbc="T T T"
La 0.000 0.816 0.000
La 0.000 5.196 4.191
Pr 1.997 2.189 5.363
Pr 1.997 3.823 1.173
Si 0.000 2.227 2.969
Si 0.000 3.785 7.160
Si 1.997 0.812 2.403
Si 1.997 5.200 6.594
```

***

(8)
Starting from a GGA-PBE-relaxed structure, the powder diffraction line list of La5Pr5Sm was simulated for CuKα.
Intensities are scaled so that the largest is 1000.

Principal peaks in the range 2θ from 15° to 90°, in order of rising 2θ:
Position (°2θ), d/Å, I_rel
28.0, 3.188, 1000
29.0, 3.076, 174
32.0, 2.800, 119
33.3, 2.687, 175
34.7, 2.588, 159
36.0, 2.497, 142
36.4, 2.470, 125
45.1, 2.009, 120
49.5, 1.841, 332
57.8, 1.594, 239
65.5, 1.426, 113
79.6, 1.205, 122

Cell and atoms:
```
11
Lattice="6.376 0.000 0.000 -3.188 5.521 0.000 0.000 0.000 11.716" Properties=species:S:1:pos:R:3 pbc="T T T"
La 0.000 0.000 0.000
La 0.000 3.681 3.758
La 0.000 3.681 7.959
La 3.188 1.840 1.824
La 3.188 1.840 9.893
Pr 0.000 0.000 3.094
Pr 0.000 0.000 8.623
Pr 1.625 0.938 5.858
Pr 4.750 0.938 5.858
Pr 3.188 3.645 5.858
Sm 0.000 3.681 0.000
```